For BaZn2As2O8, a PBE-relaxed structure gives the calculated powder XRD pattern in this record (Cu Kα).
Lines closer than 0.1° are merged.

Top 6 peaks for 2θ from 10° to 90°, in order of falling intensity:
| 2θ (°) | d [Å] | I (rel.) | h k l |
| --- | --- | --- | --- |
| 21.8 | 4.076 | 100 | 1 0 2 |
| 28.6 | 3.122 | 97 | 1 3 0 |
| 26.1 | 3.411 | 92 | 0 2 2 |
| 28.4 | 3.139 | 87 | 2 2 -1 |
| 22.4 | 3.964 | 85 | 1 2 -1 |
| 33.0 | 2.718 | 79 | 3 1 -1 |

Crystal structure
```
52
Lattice="8.8141 0.0000 0.0000 0.0000 10.0148 0.0000 -0.2393 0.0000 9.3182" Properties=species:S:1:pos:R:3 pbc="T T T"
Ba 2.1618 0.8533 1.0615
Ba 2.0421 4.1541 5.7206
Ba 6.5327 5.8607 3.5976
Ba 6.4130 9.1615 8.2566
Zn 0.7180 6.8547 0.5022
Zn 0.5984 8.1674 5.1613
Zn 3.6014 0.7508 6.7282
Zn 3.7210 4.2566 2.0691
Zn 4.8538 5.7582 7.2491
Zn 4.9734 9.2640 2.5900
Zn 7.9764 1.8474 4.1569
Zn 7.8568 3.1600 8.8160
As 0.3416 0.8565 6.9520
As 0.4612 4.1509 2.2929
As 3.9220 7.0216 0.5973
As 3.8023 8.0005 5.2564
As 4.7725 2.0142 4.0618
As 4.6528 2.9932 8.7209
As 8.1136 5.8639 7.0252
As 8.2332 9.1583 2.3661
O 0.0486 0.6507 2.8829
O -0.0711 4.3567 7.5420
O 0.3782 6.3054 5.7559
O 0.4978 8.7167 1.0968
O 0.4144 1.9883 5.6821
O 0.5341 3.0191 1.0230
O 1.8904 0.7610 7.6899
O 2.0101 4.2463 3.0308
O 2.2605 6.3881 9.2202
O 2.3801 8.6341 4.5611
O 3.4807 1.9098 5.1931
O 3.6003 3.0975 0.5340
O 3.6837 6.3547 5.7366
O 3.8033 8.6674 1.0775
O 4.2938 1.0730 2.6981
O 4.1742 3.9344 7.3572
O 4.4006 6.0803 1.9610
O 4.2810 8.9418 6.6201
O 4.7715 1.3473 8.2406
O 4.8911 3.6600 3.5815
O 4.9745 6.9172 8.7842
O 5.0941 8.1049 4.1251
O 6.1947 1.3807 4.7571
O 6.3143 3.6267 0.0980
O 6.5647 5.7684 6.2873
O 6.6844 9.2537 1.6282
O 8.0407 6.9957 8.2952
O 8.1604 8.0265 3.6361
O 8.0770 1.2981 8.2214
O 8.1966 3.7093 3.5623
O 8.6459 5.6581 1.7762
O 8.5262 9.3641 6.4353
```